# 1
Starting from a crystal structure in Alexandria, relaxed with GGA-PBE, the powder XRD pattern of LiCuBiO4 was calculated for CuKα.
Intensities are scaled so that the largest is 100.

Peak list (8 most intense, 2θ = 10–90°, by angle)
| h k l | d [Å] | Rel. int. |
| --- | --- | --- |
| 1 0 1 | 4.999 | 100.0 |
| 0 0 2 | 4.774 | 18.2 |
| 1 0 3 | 2.798 | 21.5 |
| 1 2 1 | 2.715 | 46.2 |
| 0 2 2 | 2.677 | 23.3 |
| 0 0 4 | 2.387 | 19.3 |
| 2 2 0 | 2.173 | 29.6 |
| 2 2 4 | 1.607 | 22.1 |

Atomic structure:
```
data_LiCuBiO4
_chemical_formula_sum 'Li4 Cu4 Bi4 O16'
_cell_length_a 5.8680
_cell_length_b 6.4674
_cell_length_c 9.5490
_cell_angle_alpha 90.00
_cell_angle_beta 90.00
_cell_angle_gamma 90.00
_symmetry_space_group_name_H-M 'I m m a'
_symmetry_Int_Tables_number 74
_symmetry_space_group_name_Hall '-I 2b 2'
loop_
_atom_site_label
_atom_site_type_symbol
_atom_site_fract_x
_atom_site_fract_y
_atom_site_fract_z
Li1 Li 0.0000 0.2500 0.1561
Cu1 Cu 0.2500 0.2500 0.7500
Bi1 Bi 0.0000 0.0000 0.5000
O1 O 0.0000 0.0437 0.7255
O2 O 0.2446 0.2500 0.4821
```

***

# 2
Starting from a crystal structure in Alexandria, relaxed with GGA-PBE, the powder XRD pattern of CeHo3N4 was calculated for CuKα.
Intensities are scaled so that the largest is 100.

Peak list (8 most intense, 2θ = 10–90°, by angle)
| h k l | d [Å] | Rel. int. |
| --- | --- | --- |
| 2 0 0 | 2.839 | 100.0 |
| 1 2 1 | 2.459 | 71.8 |
| 2 0 2 | 1.738 | 49.3 |
| 3 2 1 | 1.483 | 44.5 |
| 4 0 0 | 1.419 | 16.5 |
| 4 0 -4 | 1.229 | 7.7 |
| 4 0 2 | 1.128 | 19.1 |
| 3 2 3 | 1.099 | 22.5 |

Atomic structure:
```
data_CeHo3N4
_chemical_formula_sum 'Ce2 Ho6 N8'
_cell_length_a 6.0213
_cell_length_b 6.9531
_cell_length_c 6.0241
_cell_angle_alpha 90.00
_cell_angle_beta 109.49
_cell_angle_gamma 90.00
_symmetry_space_group_name_H-M 'P 1 2/c 1'
_symmetry_Int_Tables_number 13
_symmetry_space_group_name_Hall '-P 2yc'
loop_
_atom_site_label
_atom_site_type_symbol
_atom_site_fract_x
_atom_site_fract_y
_atom_site_fract_z
Ce1 Ce 0.0000 0.1277 0.2500
Ho1 Ho 0.0000 0.3771 0.7500
Ho2 Ho 0.5000 0.1275 0.7500
Ho3 Ho 0.5000 0.3774 0.2500
N1 N 0.2499 0.1255 0.0006
N2 N 0.2506 0.3748 0.4992
```